Ac13In2: simulated powder XRD pattern (Cu Kα), based on a DFT-relaxed cell (PBE, Alexandria).

Main lines, most intense first (2θ from 10° to 90°):
| (hkl) | two_theta | intensity |
| --- | --- | --- |
| 0 2 3 | 28.18 | 100 |
| 1 3 1 | 30.31 | 78 |
| 1 1 -2 | 28.29 | 48 |
| 2 1 2 | 27.89 | 40 |
| 2 4 -1 | 52.68 | 18 |
| -1 1 5 | 48.66 | 18 |

Crystal structure
```
Ac13In2
1.0
7.0774 0.0000 0.0000
1.2860 9.2217 0.0000
2.2732 3.4949 9.7612
Ac In
13 2
direct
0.0000 0.0000 0.0000 Ac
0.0478 0.4202 0.7063 Ac
0.2104 0.1782 0.2321 Ac
0.2522 0.5954 0.9434 Ac
0.2810 0.9917 0.6465 Ac
0.4557 0.3754 0.4132 Ac
0.4767 0.7947 0.1506 Ac
0.5233 0.2053 0.8494 Ac
0.5443 0.6246 0.5868 Ac
0.7190 0.0083 0.3535 Ac
0.7478 0.4046 0.0566 Ac
0.7896 0.8218 0.7679 Ac
0.9522 0.5798 0.2937 Ac
0.1313 0.7880 0.4565 In
0.8687 0.2120 0.5435 In
```